Starting from a GGA-PBE-relaxed structure, the PXRD pattern of Sb2H2Au was computed for λ = 1.5418 Å (Cu Kα).
Peak positions follow from Bragg's law for the DFT cell and can differ from measured ones.

Crystal structure
Lattice parameters (Å, degrees): 7.291 4.219 8.056 90.00 91.02 90.00
Space group C2/m (No. 12)
Asymmetric unit:
Sb (0.163, 0.000, 0.338)
H (0.007, 0.500, 0.047)
Au (0.000, 0.500, 0.500)

Main lines, low angle first (10° ≤ 2θ ≤ 90°):
h k l, two_theta, Rel. int.
0 0 1, 10.98, 100
1 1 -1, 26.72, 24
2 0 1, 27.03, 13
1 1 -2, 32.96, 30
2 0 2, 33.45, 14
1 1 -3, 41.57, 9
0 2 0, 42.93, 21
3 1 -1, 44.34, 15